# SiHgO3
Simulated powder X-ray diffraction pattern, Cu Kα X-rays. Input: a PBE-relaxed structure.
Kinematic intensities with the Lorentz-polarization factor, no thermal factor.

Crystal structure
a = 4.958 Å, b = 5.654 Å, c = 6.133 Å
α = 65.07°, β = 74.25°, γ = 70.76°
Sites, in units of the cell vectors:
Si: 0.228 0.081 0.426
Si: 0.772 0.919 0.574
Hg: 0.291 0.303 0.856
Hg: 0.709 0.697 0.144
O: 0.043 0.924 0.340
O: 0.220 0.366 0.179
O: 0.453 0.171 0.565
O: 0.547 0.829 0.435
O: 0.780 0.634 0.821
O: 0.957 0.076 0.660

Most intense lines, 15 to 90 degrees two-theta, by angle:
16.13 deg, rel. 31
21.77 deg, rel. 100
22.81 deg, rel. 87
27.06 deg, rel. 36
28.28 deg, rel. 76
29.45 deg, rel. 74
30.91 deg, rel. 49
33.73 deg, rel. 32
35.33 deg, rel. 31
38.96 deg, rel. 26


# SiHgTe2O8
Simulated powder X-ray diffraction pattern, Cu Kα X-rays. Input: a PBE-relaxed structure.
Kinematic intensities with the Lorentz-polarization factor, no thermal factor.

Crystal structure
a = 6.151 Å, b = 6.151 Å, c = 5.560 Å
α = 110.70°, β = 110.70°, γ = 51.79°
Sites, in units of the cell vectors:
Si: 0.000 0.000 0.000
Hg: 0.500 0.500 0.500
Te: 0.275 0.275 0.806
Te: 0.725 0.725 0.194
O: 0.080 0.080 0.782
O: 0.138 0.653 0.776
O: 0.319 0.319 0.170
O: 0.347 0.862 0.224
O: 0.653 0.138 0.776
O: 0.681 0.681 0.830
O: 0.862 0.347 0.224
O: 0.920 0.920 0.218

Most intense lines, 15 to 90 degrees two-theta, by angle:
18.68 deg, rel. 48
27.88 deg, rel. 100
29.22 deg, rel. 28
30.24 deg, rel. 89
32.43 deg, rel. 33
33.36 deg, rel. 38
36.74 deg, rel. 24
47.21 deg, rel. 23
49.34 deg, rel. 24
53.74 deg, rel. 22